# NdY7Tm3
Theoretical powder XRD pattern, Cu Ka. Input: the GGA-PBE geometry in Alexandria.
Kinematic intensities with the Lorentz-polarization factor, no thermal factor.

a = 6.910 Å, b = 5.556 Å, c = 9.932 Å
α = 90.00°, β = 109.04°, γ = 90.00°
Positions (direct):
Nd 0.000 0.000 0.000
Y 0.000 0.000 0.500
Y 0.148 0.500 0.788
Y 0.324 0.500 0.141
Y 0.427 0.000 0.332
Y 0.573 0.000 0.668
Y 0.676 0.500 0.859
Y 0.852 0.500 0.212
Tm 0.275 0.500 0.495
Tm 0.500 0.000 0.000
Tm 0.725 0.500 0.505

Main lines, in order of falling intensity (2θ = 5–70°):
d 2.781, 32.2 deg, I = 100
d 2.815, 31.8 deg, I = 98
d 2.727, 32.8 deg, I = 58
d 4.694, 18.9 deg, I = 22
d 1.595, 57.8 deg, I = 22
d 4.782, 18.6 deg, I = 20
d 2.752, 32.5 deg, I = 20
d 1.604, 57.4 deg, I = 16
d 1.611, 57.2 deg, I = 15
d 1.467, 63.4 deg, I = 15

# NaPdPbO4
Theoretical powder XRD pattern, Cu Ka. Input: the GGA-PBE geometry in Alexandria.
Kinematic intensities with the Lorentz-polarization factor, no thermal factor.

a = 6.564 Å, b = 6.564 Å, c = 6.564 Å
α = 117.83°, β = 117.75°, γ = 93.87°
Positions (direct):
Na 0.369 0.119 0.250
Na 0.631 0.881 0.750
Pd 0.000 0.000 0.500
Pd 0.000 0.500 0.000
Pb 0.000 0.500 0.500
Pb 0.500 0.500 0.000
O 0.195 0.744 0.451
O 0.208 0.256 0.951
O 0.228 0.256 0.527
O 0.228 0.701 0.973
O 0.772 0.299 0.027
O 0.772 0.744 0.473
O 0.792 0.744 0.049
O 0.805 0.256 0.549

Main lines, in order of falling intensity (2θ = 5–70°):
d 5.408, 16.4 deg, I = 100
d 2.873, 31.1 deg, I = 55
d 2.704, 33.1 deg, I = 47
d 2.398, 37.5 deg, I = 32
d 2.734, 32.8 deg, I = 25
d 1.637, 56.2 deg, I = 24
d 1.841, 49.5 deg, I = 19
d 1.437, 64.9 deg, I = 17
d 2.129, 42.5 deg, I = 14
d 1.695, 54.1 deg, I = 14

# Li12Mg6Cd
Theoretical powder XRD pattern, Cu Ka. Input: the GGA-PBE geometry in Alexandria.
Kinematic intensities with the Lorentz-polarization factor, no thermal factor.

a = 7.377 Å, b = 7.377 Å, c = 7.377 Å
α = 92.08°, β = 92.08°, γ = 92.08°
Positions (direct):
Li 0.031 0.296 0.947
Li 0.053 0.969 0.704
Li 0.129 0.349 0.453
Li 0.296 0.947 0.031
Li 0.349 0.453 0.129
Li 0.453 0.129 0.349
Li 0.547 0.871 0.651
Li 0.651 0.547 0.871
Li 0.704 0.053 0.969
Li 0.871 0.651 0.547
Li 0.947 0.031 0.296
Li 0.969 0.704 0.053
Mg 0.223 0.765 0.383
Mg 0.235 0.617 0.777
Mg 0.383 0.223 0.765
Mg 0.617 0.777 0.235
Mg 0.765 0.383 0.223
Mg 0.777 0.235 0.617
Cd 0.500 0.500 0.500

Main lines, in order of falling intensity (2θ = 5–70°):
d 7.367, 12.0 deg, I = 100
d 5.114, 17.3 deg, I = 56
d 2.498, 36.0 deg, I = 35
d 2.356, 38.2 deg, I = 32
d 3.345, 26.6 deg, I = 22
d 4.102, 21.7 deg, I = 20
d 2.456, 36.6 deg, I = 19
d 3.027, 29.5 deg, I = 16
d 3.246, 27.5 deg, I = 15
d 2.008, 45.2 deg, I = 13